No. 1
This entry pairs a crystal structure of Rb5Tc3S7 with its theoretical X-ray diffraction stick pattern. Radiation: copper Kα. Structure: a GGA-PBE-relaxed structure.

Principal peaks in the range 10° ≤ 2θ ≤ 80°, sorted by position:
Position (°2θ), I_rel
10.10, 41
11.55, 100
11.68, 35
19.35, 26
25.39, 28
25.59, 28
26.07, 29
28.84, 26
33.26, 37
35.15, 25
35.51, 30
45.45, 26

Structure:
```
data_Rb5Tc3S7
_cell_length_a 18.686
_cell_length_b 10.723
_cell_length_c 10.943
_cell_angle_alpha 90.00
_cell_angle_beta 125.80
_cell_angle_gamma 90.00
_symmetry_space_group_name_H-M 'C 1 m 1'
_symmetry_Int_Tables_number 8
loop_
_symmetry_equiv_pos_as_xyz
'x,y,z'
'x,-y,z'
'x+1/2,y+1/2,z'
'x+1/2,-y+1/2,z'
loop_
_atom_site_label
_atom_site_fract_x
_atom_site_fract_y
_atom_site_fract_z
Rb1 0.000 0.000 0.000
Rb2 0.002 0.000 0.555
Rb3 0.048 0.307 0.324
Rb4 0.167 0.000 0.443
Rb5 0.185 0.000 0.962
Rb6 0.360 0.210 0.425
Rb7 0.361 0.209 0.846
Tc1 0.033 0.500 0.808
Tc2 0.156 0.376 0.051
Tc3 0.156 0.376 0.811
Tc4 0.280 0.500 0.055
S1 0.042 0.274 0.817
S2 0.043 0.500 0.041
S3 0.044 0.500 0.597
S4 0.152 0.205 0.195
S5 0.153 0.205 0.660
S6 0.268 0.500 0.265
S7 0.269 0.500 0.822
S8 0.272 0.277 0.047
S9 0.372 0.000 0.646
S10 0.443 0.500 0.220
```

No. 2
This entry pairs a crystal structure of TcPbBr2 with its theoretical X-ray diffraction stick pattern. Radiation: copper Kα. Structure: a GGA-PBE-relaxed structure.

Principal peaks in the range 10° ≤ 2θ ≤ 80°, sorted by position:
Position (°2θ), I_rel
16.37, 78
24.65, 30
29.52, 44
29.91, 86
36.94, 100
40.64, 53
52.13, 39
54.32, 28
55.01, 21
58.48, 17
65.59, 19
75.57, 22

Structure:
```
data_TcPbBr2
_cell_length_a 3.5092
_cell_length_b 3.5092
_cell_length_c 32.4987
_cell_angle_alpha 90.00
_cell_angle_beta 90.00
_cell_angle_gamma 120.00
_symmetry_space_group_name_H-M 'R -3 m'
_symmetry_Int_Tables_number 166
_symmetry_space_group_name_Hall '-R 3 2"'
loop_
_atom_site_label
_atom_site_fract_x
_atom_site_fract_y
_atom_site_fract_z
Tc1 0.0000 0.0000 0.0000
Pb1 0.0000 0.0000 0.5000
Br1 0.0000 0.0000 0.3825
```

No. 3
This entry pairs a crystal structure of ZnHgAs2 with its theoretical X-ray diffraction stick pattern. Radiation: copper Kα. Structure: a GGA-PBE-relaxed structure.

Principal peaks in the range 10° ≤ 2θ ≤ 80°, sorted by position:
Position (°2θ), I_rel
13.11, 18
24.63, 26
26.06, 39
31.03, 72
32.20, 44
37.41, 100
41.17, 25
42.10, 27
48.54, 19
54.14, 27
61.56, 20
66.17, 23

Structure:
```
data_ZnHgAs2
_cell_length_a 3.534
_cell_length_b 3.751
_cell_length_c 13.511
_cell_angle_alpha 90.00
_cell_angle_beta 90.00
_cell_angle_gamma 90.00
_symmetry_space_group_name_H-M 'I m m 2'
_symmetry_Int_Tables_number 44
loop_
_symmetry_equiv_pos_as_xyz
'x,y,z'
'-x,-y,z'
'-x,y,z'
'x,-y,z'
'x+1/2,y+1/2,z+1/2'
'-x+1/2,-y+1/2,z+1/2'
'-x+1/2,y+1/2,z+1/2'
'x+1/2,-y+1/2,z+1/2'
loop_
_atom_site_label
_atom_site_fract_x
_atom_site_fract_y
_atom_site_fract_z
Zn1 0.000 0.000 0.000
Hg1 0.000 0.500 0.156
As1 0.000 0.000 0.424
As2 0.000 0.500 0.792
```

No. 4
This entry pairs a crystal structure of CsGe4Se7 with its theoretical X-ray diffraction stick pattern. Radiation: copper Kα. Structure: a GGA-PBE-relaxed structure.

Principal peaks in the range 10° ≤ 2θ ≤ 80°, sorted by position:
Position (°2θ), I_rel
21.27, 46
21.56, 23
24.16, 100
26.26, 79
28.96, 73
29.63, 76
35.98, 49
45.60, 71
45.88, 34
46.05, 25
48.92, 33
55.57, 23

Structure:
```
data_CsGe4Se7
_cell_length_a 15.823
_cell_length_b 6.608
_cell_length_c 7.367
_cell_angle_alpha 90.00
_cell_angle_beta 90.00
_cell_angle_gamma 90.00
_symmetry_space_group_name_H-M 'P m n 21'
_symmetry_Int_Tables_number 31
loop_
_symmetry_equiv_pos_as_xyz
'x,y,z'
'-x+1/2,-y,z+1/2'
'-x,y,z'
'x+1/2,-y,z+1/2'
loop_
_atom_site_label
_atom_site_fract_x
_atom_site_fract_y
_atom_site_fract_z
Cs1 0.000 0.182 0.000
Ge1 0.121 0.713 0.396
Ge2 0.249 0.245 0.399
Se1 0.000 0.911 0.494
Se2 0.115 0.680 0.073
Se3 0.120 0.395 0.551
Se4 0.244 0.888 0.510
```